1.
Simulated powder diffractogram of K2ReO4 for Cu Kα, 1.54184 Å, from the PBE geometry in OQMD.

Principal peaks in the range 2θ from 10° to 80°, by intensity:
| index | 2theta | d_spacing | Rel. int. |
| --- | --- | --- | --- |
| 3 1 0 | 28.2 | 3.166 | 100 |
| 1 1 -1 | 19.1 | 4.653 | 95 |
| 3 1 -2 | 30.9 | 2.898 | 69 |
| 0 0 2 | 27.1 | 3.293 | 63 |
| 0 2 0 | 29.5 | 3.030 | 55 |
| 0 2 2 | 40.5 | 2.230 | 55 |
| 1 1 1 | 23.6 | 3.766 | 51 |
| 3 1 2 | 46.7 | 1.944 | 43 |
| 2 0 -1 | 15.6 | 5.680 | 43 |
| 1 1 0 | 16.7 | 5.323 | 28 |

Crystal structure
```
data_K2ReO4
_symmetry_space_group_name_H-M 'C 1 2/m 1'
_symmetry_Int_Tables_number 12
_symmetry_space_group_name_Hall '-C 2y'
_cell_length_a 12.442
_cell_length_b 6.060
_cell_length_c 7.357
_cell_angle_alpha 90.00
_cell_angle_beta 116.47
_cell_angle_gamma 90.00
loop_
_atom_site_label
_atom_site_fract_x
_atom_site_fract_y
_atom_site_fract_z
K1 0.012 0.000 0.239
K2 0.155 0.500 0.746
Re1 0.177 0.500 0.228
O1 0.075 0.500 0.343
O2 0.146 0.242 0.094
O3 0.161 0.000 0.636
```

---

2.
Simulated powder diffractogram of Pr5Co2C6 for Cu Kα, 1.54184 Å, from the PBE geometry in OQMD.

Principal peaks in the range 2θ from 10° to 80°, by intensity:
| index | 2theta | d_spacing | Rel. int. |
| --- | --- | --- | --- |
| 1 1 0 | 29.3 | 3.047 | 100 |
| 0 1 5 | 25.1 | 3.554 | 62 |
| 1 0 10 | 41.3 | 2.188 | 33 |
| 1 2 5 | 49.5 | 1.843 | 24 |
| 2 0 5 | 38.9 | 2.313 | 23 |
| 3 0 0 | 52.0 | 1.759 | 21 |
| 2 1 10 | 60.3 | 1.535 | 19 |
| 0 2 10 | 51.4 | 1.777 | 15 |
| 1 1 6 | 37.1 | 2.425 | 13 |
| 2 2 0 | 60.8 | 1.524 | 12 |

Crystal structure
```
data_Pr5Co2C6
_symmetry_space_group_name_H-M 'R -3 m'
_symmetry_Int_Tables_number 166
_symmetry_space_group_name_Hall '-R 3 2"'
_cell_length_a 6.0946
_cell_length_b 6.0946
_cell_length_c 24.0374
_cell_angle_alpha 90.00
_cell_angle_beta 90.00
_cell_angle_gamma 120.00
loop_
_atom_site_label
_atom_site_fract_x
_atom_site_fract_y
_atom_site_fract_z
Pr1 0.0000 0.0000 0.0000
Pr2 0.0000 0.0000 0.2129
Pr3 0.0000 0.0000 0.4069
Co1 0.0000 0.0000 0.1008
C1 0.0000 0.2358 0.5000
```